(1)
# SmGa8Cu4
Computed XRD peak list, a wavelength of 1.5418 Å. Input: a cell relaxed with PBE.

Structure:
Cell lengths 9.0074, 9.0074, 8.9062 Å; angles 90.00, 90.00, 120.00 degrees
Space group P6/mmm (No. 191)
One atom of each set of equivalent atoms:
1 Sm 0.0000 0.0000 0.0000 x1
2 Sm 0.3333 0.6667 0.5000 x2
3 Ga 0.0000 0.0000 0.3407 x2
4 Ga 0.0000 0.2946 0.5000 x6
5 Ga 0.0000 0.3467 0.0000 x6
6 Ga 0.0000 0.5000 0.2755 x6
7 Ga 0.3333 0.6667 0.1467 x4
8 Cu 0.1673 0.3346 0.2397 x12

Largest 8 diffraction maxima, sorted by position, 10 to 90 degrees two-theta:
2theta  I (rel.)  h k l
34.5  53  3 0 0
38.1  51  2 0 3
40.0  68  2 2 0
40.2  100  3 0 2
40.5  32  0 0 4
45.1  54  2 2 2
72.7  26  6 0 0
73.5  26  3 0 6


(2)
# Rb3U2TiS6
Computed XRD peak list, a wavelength of 1.5418 Å. Input: a cell relaxed with PBE.

Structure:
Cell lengths 6.8438, 11.8542, 8.0638 Å; angles 90.00, 106.45, 90.00 degrees
Space group C2/m (No. 12)
One atom of each set of equivalent atoms:
1 Rb 0.0000 0.0000 0.0000 x2
2 Rb 0.0000 0.3321 0.0000 x4
3 U 0.0000 0.1665 0.5000 x4
4 Ti 0.0000 0.5000 0.5000 x2
5 S 0.2222 0.3409 0.6893 x8
6 S 0.2452 0.0000 0.6899 x4

Largest 8 diffraction maxima, sorted by position, 10 to 90 degrees two-theta:
2theta  I (rel.)  h k l
11.4  35  0 0 1
23.0  27  0 0 2
27.2  46  2 0 0
30.3  100  1 3 1
40.8  38  2 0 2
45.9  31  0 6 0
47.3  16  1 3 3
52.0  20  3 3 1


(3)
# RbGaPb
Computed XRD peak list, a wavelength of 1.5418 Å. Input: a cell relaxed with PBE.

Structure:
Cell lengths 4.7744, 5.9488, 8.2669 Å; angles 90.00, 90.00, 90.00 degrees
Space group Pmmm (No. 47)
One atom of each set of equivalent atoms:
1 Rb 0.0000 0.0000 0.0000 x1
2 Rb 0.5000 0.0000 0.5000 x1
3 Ga 0.0000 0.5000 0.3483 x2
4 Pb 0.5000 0.5000 0.1826 x2

Largest 8 diffraction maxima, sorted by position, 10 to 90 degrees two-theta:
2theta  I (rel.)  h k l
14.9  43  0 1 0
26.3  100  0 1 2
30.0  31  0 2 0
37.7  49  2 0 0
40.7  21  2 1 0
46.5  21  2 1 2
48.9  46  2 2 0
61.3  18  1 1 5


(4)
# Rb3TiSe4
Computed XRD peak list, a wavelength of 1.5418 Å. Input: a cell relaxed with PBE.

Structure:
Cell lengths 5.9678, 14.0574, 7.3300 Å; angles 90.00, 90.00, 90.00 degrees
Space group Imm2 (No. 44)
One atom of each set of equivalent atoms:
1 Rb 0.0000 0.0000 0.0000 x2
2 Rb 0.0000 0.2856 0.1902 x4
3 Ti 0.0000 0.5000 0.8243 x2
4 Se 0.0000 0.3560 0.6481 x4
5 Se 0.2320 0.0000 0.5675 x4

Largest 8 diffraction maxima, sorted by position, 10 to 90 degrees two-theta:
2theta  I (rel.)  h k l
23.0  73  1 2 1
24.1  100  1 3 0
24.3  64  0 0 2
27.4  66  0 2 2
32.0  74  1 4 1
33.0  79  2 1 1
34.5  57  1 3 2
56.6  67  2 7 1


(5)
# Tb12CeTm7
Computed XRD peak list, a wavelength of 1.5418 Å. Input: a cell relaxed with PBE.

Structure:
Cell lengths 13.1504, 13.1504, 12.6986 Å; angles 90.00, 90.00, 120.00 degrees
Space group R-3m (No. 166, hexagonal axes)
One atom of each set of equivalent atoms:
1 Tb 0.0000 0.2621 0.0000 x18
2 Tb 0.0896 0.1792 0.7690 x18
3 Ce 0.0000 0.0000 0.5000 x3
4 Tm 0.0000 0.0000 0.0000 x3
5 Tm 0.0393 0.5196 0.1225 x18

Largest 8 diffraction maxima, sorted by position, 10 to 90 degrees two-theta:
2theta  I (rel.)  h k l
29.2  47  1 0 4
31.6  100  0 3 3
32.2  78  4 0 1
34.5  37  0 4 2
49.3  17  3 0 6
55.9  18  4 4 0
57.1  29  4 3 4
85.3  16  4 7 3


(6)
# In2As2Cl2O5
Computed XRD peak list, a wavelength of 1.5418 Å. Input: a cell relaxed with PBE.

Structure:
Cell lengths 6.8447, 7.6480, 9.4324 Å; angles 108.67, 101.68, 102.40 degrees
Space group P-1 (No. 2)
One atom of each set of equivalent atoms:
1 In 0.1013 0.3083 0.4776 x2
2 In 0.3655 0.7773 0.3459 x2
3 As 0.1790 0.2243 0.7823 x2
4 As 0.3682 0.8445 0.7413 x2
5 Cl 0.2749 0.3933 0.2881 x2
6 Cl 0.2987 0.7193 0.0658 x2
7 O 0.0528 0.7854 0.3555 x2
8 O 0.1399 0.9553 0.7175 x2
9 O 0.1780 0.6197 0.6104 x2
10 O 0.3248 0.2667 0.6479 x2
11 O 0.4818 0.9066 0.6000 x2

Largest 8 diffraction maxima, sorted by position, 10 to 90 degrees two-theta:
2theta  I (rel.)  h k l
10.4  100  0 0 1
25.8  35  0 2 0
27.0  34  2 -1 0
27.7  13  1 1 1
29.6  11  -1 2 1
29.8  34  1 1 -3
34.3  13  2 1 0
38.2  13  1 0 3